For CePm2HoTm, the PBE geometry in Alexandria gives the theoretical X-ray diffraction stick pattern in this record (Cu Kα X-rays).
Peak positions follow from Bragg's law for the DFT cell and can differ from measured ones.

Crystal structure
```
CePm2HoTm
1.0
6.6660 0.0000 0.0000
0.0000 8.1404 0.0000
-0.0312 0.0000 6.0918
Ce Pm Ho Tm
2 4 2 2
Cartesian
0.0000 0.0000 0.0000
-0.0156 0.0000 3.0459
1.7517 2.5276 1.5357
1.7361 5.6128 4.5816
4.8986 2.5276 1.5102
4.8830 5.6128 4.5561
-0.0234 2.8791 4.5689
-0.0078 5.2613 1.5230
3.3096 1.0098 4.5689
3.3252 7.1306 1.5230
```

Principal peaks in the range 15 to 90 degrees two-theta, low angle first:
2θ 28.95, intensity 32.4; 2θ 29.32, intensity 51.4; 2θ 29.60, intensity 100.0; 2θ 32.47, intensity 94.9; 2θ 32.60, intensity 88.2; 2θ 34.13, intensity 36.1; 2θ 34.25, intensity 34.6; 2θ 35.73, intensity 38.1; 2θ 36.86, intensity 36.9; 2θ 54.20, intensity 35.6

=====

For CePm2YHo, the PBE geometry in Alexandria gives the theoretical X-ray diffraction stick pattern in this record (Cu Kα X-rays).
Peak positions follow from Bragg's law for the DFT cell and can differ from measured ones.

Crystal structure
```
CePm2YHo
1.0
5.9720 0.0000 0.0000
0.0000 7.5325 0.0000
0.0000 0.0000 7.3641
Ce Pm Y Ho
2 4 2 2
Cartesian
0.0000 0.0000 0.0000
2.9860 0.0000 0.0000
1.4930 2.1930 2.3147
1.4930 5.3395 2.3147
4.4790 2.1930 5.0494
4.4790 5.3395 5.0494
1.4930 0.0000 4.5165
4.4790 0.0000 2.8476
1.4930 3.7662 6.2864
4.4790 3.7662 1.0777
```

Principal peaks in the range 15 to 90 degrees two-theta, low angle first:
2θ 26.58, intensity 28.8; 2θ 26.95, intensity 23.6; 2θ 28.48, intensity 26.0; 2θ 29.92, intensity 24.6; 2θ 30.58, intensity 100.0; 2θ 30.90, intensity 49.1; 2θ 34.53, intensity 30.9; 2θ 48.99, intensity 22.5; 2θ 53.53, intensity 22.7; 2θ 54.15, intensity 25.9

=====

For CePr4Ho4, the PBE geometry in Alexandria gives the theoretical X-ray diffraction stick pattern in this record (Cu Kα X-rays).
Peak positions follow from Bragg's law for the DFT cell and can differ from measured ones.

Crystal structure
```
CePr4Ho4
1.0
-5.4227 5.4227 2.5491
5.4227 -5.4227 2.5491
5.4227 5.4227 -2.5491
Ce Pr Ho
1 4 4
Cartesian
0.0000 0.0000 0.0000
3.6336 3.6336 0.0000
1.7891 -1.7891 2.5491
-1.7891 1.7891 2.5491
1.7891 1.7891 2.5491
3.6383 0.0000 0.0000
7.2071 0.0000 0.0000
0.0000 3.6383 0.0000
0.0000 7.2071 0.0000
```

Principal peaks in the range 15 to 90 degrees two-theta, low angle first:
2θ 30.31, intensity 100.0; 2θ 35.10, intensity 33.8; 2θ 35.21, intensity 16.8; 2θ 50.54, intensity 36.1; 2θ 60.03, intensity 28.7; 2θ 60.17, intensity 14.3; 2θ 63.05, intensity 12.4; 2θ 82.20, intensity 5.9; 2θ 82.32, intensity 11.7; 2θ 84.84, intensity 10.9